(1)
For Tb2ErTc, a cell relaxed with GGA-PBE gives the theoretical X-ray powder pattern in this record (a wavelength of 1.5418 Å).

Structure:
```
data_Tb2ErTc
_chemical_formula_sum 'Tb8 Er4 Tc4'
_symmetry_space_group_name_H-M 'P n m a'
_symmetry_Int_Tables_number 62
_symmetry_space_group_name_Hall '-P 2ac 2n'
_cell_length_a 7.4015
_cell_length_b 9.2137
_cell_length_c 6.2508
_cell_angle_alpha 90.00
_cell_angle_beta 90.00
_cell_angle_gamma 90.00
loop_
_atom_site_label
_atom_site_type_symbol
_atom_site_fract_x
_atom_site_fract_y
_atom_site_fract_z
_atom_site_occupancy
Tb1 Tb 0.1772 0.0633 0.1607 1
Er1 Er 0.0433 0.2500 0.6306 1
Tc1 Tc 0.1128 0.7500 0.9602 1
```

The 12 most intense peaks (2θ from 10° to 90°), in order of rising 2θ:
2θ/deg  intensity  (hkl)
29.7  38  2 1 1
31.0  100  2 2 0
32.5  67  0 3 1
32.6  67  1 1 2
34.2  55  2 2 1
34.7  66  1 3 1
36.8  22  1 2 2
38.1  22  2 3 0
39.3  29  3 0 1
49.6  33  1 2 3
51.5  22  4 0 1
56.1  29  3 3 2

(2)
For TbEr4Tc2, a cell relaxed with GGA-PBE gives the theoretical X-ray powder pattern in this record (a wavelength of 1.5418 Å).

Structure:
```
data_TbEr4Tc2
_chemical_formula_sum 'Tb2 Er8 Tc4'
_symmetry_space_group_name_H-M 'P 1 21/m 1'
_symmetry_Int_Tables_number 11
_symmetry_space_group_name_Hall '-P 2yb'
_cell_length_a 7.7571
_cell_length_b 6.2564
_cell_length_c 7.8745
_cell_angle_alpha 90.00
_cell_angle_beta 111.91
_cell_angle_gamma 90.00
loop_
_atom_site_label
_atom_site_type_symbol
_atom_site_fract_x
_atom_site_fract_y
_atom_site_fract_z
_atom_site_occupancy
Tb1 Tb 0.0255 0.2500 0.1574 1
Er1 Er 0.2396 0.5009 0.5828 1
Er2 Er 0.3251 0.7500 0.2512 1
Er3 Er 0.3882 0.2500 0.0255 1
Tc1 Tc 0.0342 0.2500 0.7538 1
Tc2 Tc 0.4227 0.2500 0.3823 1
```

The 12 most intense peaks (2θ from 10° to 90°), in order of rising 2θ:
2θ/deg  intensity  (hkl)
31.1  100  0 2 1
31.3  29  1 0 2
31.5  41  2 0 1
31.8  38  1 2 -1
34.2  45  1 0 -3
34.5  30  1 1 2
36.8  39  1 2 -2
37.0  25  2 2 -1
38.1  43  2 2 0
39.7  25  0 1 3
52.8  22  1 2 3
59.1  32  0 4 0

(3)
For Tb2Er3Te6, a cell relaxed with GGA-PBE gives the theoretical X-ray powder pattern in this record (a wavelength of 1.5418 Å).

Structure:
```
data_Tb2Er3Te6
_chemical_formula_sum 'Tb4 Er6 Te12'
_symmetry_space_group_name_H-M 'C 1 2/m 1'
_symmetry_Int_Tables_number 12
_symmetry_space_group_name_Hall '-C 2y'
_cell_length_a 7.5013
_cell_length_b 12.9125
_cell_length_c 7.4688
_cell_angle_alpha 90.00
_cell_angle_beta 109.62
_cell_angle_gamma 90.00
loop_
_atom_site_label
_atom_site_type_symbol
_atom_site_fract_x
_atom_site_fract_y
_atom_site_fract_z
_atom_site_occupancy
Tb1 Tb 0.0000 0.1636 0.0000 1
Er1 Er 0.0000 0.0000 0.5000 1
Er2 Er 0.0000 0.3289 0.5000 1
Te1 Te 0.2384 0.5000 0.7501 1
Te2 Te 0.2419 0.3390 0.2458 1
```

The 12 most intense peaks (2θ from 10° to 90°), in order of rising 2θ:
2θ/deg  intensity  (hkl)
29.2  51  2 0 -2
29.3  100  1 3 1
41.8  38  3 3 -1
41.9  75  1 3 -3
51.8  10  4 0 0
52.0  30  0 0 4
60.8  12  2 6 2
68.6  9  5 3 -3
68.8  17  3 3 -5
69.0  17  0 6 4
76.4  12  4 6 -4
76.6  16  2 0 -6

(4)
For Tb2Er2Te5, a cell relaxed with GGA-PBE gives the theoretical X-ray powder pattern in this record (a wavelength of 1.5418 Å).

Structure:
```
data_Tb2Er2Te5
_chemical_formula_sum 'Tb4 Er4 Te10'
_symmetry_space_group_name_H-M 'C m m m'
_symmetry_Int_Tables_number 65
_symmetry_space_group_name_Hall '-C 2 2'
_cell_length_a 6.0523
_cell_length_b 18.4725
_cell_length_c 6.1134
_cell_angle_alpha 90.00
_cell_angle_beta 90.00
_cell_angle_gamma 90.00
loop_
_atom_site_label
_atom_site_type_symbol
_atom_site_fract_x
_atom_site_fract_y
_atom_site_fract_z
_atom_site_occupancy
Tb1 Tb 0.0000 0.1567 0.0000 1
Er1 Er 0.0000 0.3152 0.5000 1
Te1 Te 0.0000 0.0000 0.0000 1
Te2 Te 0.0000 0.1528 0.5000 1
Te3 Te 0.0000 0.3320 0.0000 1
```

The 12 most intense peaks (2θ from 10° to 90°), in order of rising 2θ:
2θ/deg  intensity  (hkl)
19.2  32  0 4 0
29.0  82  0 6 0
29.2  100  0 0 2
29.5  97  2 0 0
31.9  21  1 5 1
37.2  22  1 7 0
41.6  62  0 6 2
41.9  64  2 6 0
42.0  75  2 0 2
48.0  22  1 7 2
51.9  65  2 6 2
76.4  21  2 6 4

(5)
For Tb4Er2Te9, a cell relaxed with GGA-PBE gives the theoretical X-ray powder pattern in this record (a wavelength of 1.5418 Å).

Structure:
```
data_Tb4Er2Te9
_chemical_formula_sum 'Tb8 Er4 Te18'
_symmetry_space_group_name_H-M 'P -3 c 1'
_symmetry_Int_Tables_number 165
_symmetry_space_group_name_Hall '-P 3 2"c'
_cell_length_a 7.6914
_cell_length_b 7.6914
_cell_length_c 21.0782
_cell_angle_alpha 90.00
_cell_angle_beta 90.00
_cell_angle_gamma 120.00
loop_
_atom_site_label
_atom_site_type_symbol
_atom_site_fract_x
_atom_site_fract_y
_atom_site_fract_z
_atom_site_occupancy
Tb1 Tb 0.3333 0.6667 0.0099 1
Tb2 Tb 0.3333 0.6667 0.3235 1
Er1 Er 0.0000 0.0000 0.1576 1
Te1 Te 0.0000 0.3110 0.2500 1
Te2 Te 0.0199 0.3498 0.9164 1
```

The 12 most intense peaks (2θ from 10° to 90°), in order of rising 2θ:
2θ/deg  intensity  (hkl)
15.7  34  0 1 2
21.5  27  1 0 4
26.4  88  1 1 3
31.8  20  0 2 4
34.6  100  1 1 6
39.7  17  2 1 4
40.6  63  3 0 0
45.3  20  1 1 9
49.1  14  2 2 3
54.4  27  2 2 6
68.1  21  3 0 12
70.1  24  4 1 6

(6)
For Tb2Er7Th2, a cell relaxed with GGA-PBE gives the theoretical X-ray powder pattern in this record (a wavelength of 1.5418 Å).

Structure:
```
data_Tb2Er7Th2
_chemical_formula_sum 'Tb4 Er14 Th4'
_symmetry_space_group_name_H-M 'C 1 2/m 1'
_symmetry_Int_Tables_number 12
_symmetry_space_group_name_Hall '-C 2y'
_cell_length_a 11.0318
_cell_length_b 11.3930
_cell_length_c 6.0795
_cell_angle_alpha 90.00
_cell_angle_beta 113.57
_cell_angle_gamma 90.00
loop_
_atom_site_label
_atom_site_type_symbol
_atom_site_fract_x
_atom_site_fract_y
_atom_site_fract_z
_atom_site_occupancy
Tb1 Tb 0.0000 0.2142 0.0000 1
Er1 Er 0.0000 0.0000 0.5000 1
Er2 Er 0.1728 0.2385 0.6720 1
Er3 Er 0.2390 0.0000 0.0786 1
Th1 Th 0.0878 0.5000 0.3092 1
```

The 12 most intense peaks (2θ from 10° to 90°), in order of rising 2θ:
2θ/deg  intensity  (hkl)
26.0  25  3 1 -1
30.7  32  1 1 -2
31.4  49  0 4 0
32.3  100  2 2 1
32.5  31  4 0 -1
33.8  46  2 2 -2
34.4  29  3 3 -1
45.8  20  4 4 -1
50.2  14  1 5 -2
56.5  15  2 6 1
57.0  13  6 2 0
58.3  12  4 0 2

(7)
For Tb2Er12Th, a cell relaxed with GGA-PBE gives the theoretical X-ray powder pattern in this record (a wavelength of 1.5418 Å).

Structure:
```
data_Tb2Er12Th
_chemical_formula_sum 'Tb2 Er12 Th1'
_symmetry_space_group_name_H-M 'P -1'
_symmetry_Int_Tables_number 2
_symmetry_space_group_name_Hall '-P 1'
_cell_length_a 3.5305
_cell_length_b 5.5383
_cell_length_c 24.1184
_cell_angle_alpha 96.58
_cell_angle_beta 94.13
_cell_angle_gamma 90.03
loop_
_atom_site_label
_atom_site_type_symbol
_atom_site_fract_x
_atom_site_fract_y
_atom_site_fract_z
_atom_site_occupancy
Tb1 Tb 0.1364 0.1374 0.2771 1
Er1 Er 0.0932 0.5948 0.1907 1
Er2 Er 0.2259 0.7282 0.4574 1
Er3 Er 0.3011 0.7992 0.5973 1
Er4 Er 0.3414 0.3390 0.6761 1
Er5 Er 0.4300 0.9290 0.8573 1
Er6 Er 0.4688 0.4672 0.9340 1
Th1 Th 0.0000 0.0000 0.0000 1
```

The 12 most intense peaks (2θ from 10° to 90°), in order of rising 2θ:
2θ/deg  intensity  (hkl)
30.3  9  1 1 0
30.4  21  1 0 4
32.1  56  1 1 -4
32.4  100  0 2 -1
33.6  11  1 1 3
35.5  15  1 -1 5
45.0  14  1 2 3
51.8  10  2 0 -1
57.5  11  1 3 -5
57.7  12  0 3 6
58.7  11  1 2 -12
62.4  26  2 2 -2

(8)
For Tb3Er3Th2, a cell relaxed with GGA-PBE gives the theoretical X-ray powder pattern in this record (a wavelength of 1.5418 Å).

Structure:
```
data_Tb3Er3Th2
_chemical_formula_sum 'Tb6 Er6 Th4'
_symmetry_space_group_name_H-M 'C 1 2/m 1'
_symmetry_Int_Tables_number 12
_symmetry_space_group_name_Hall '-C 2y'
_cell_length_a 7.1332
_cell_length_b 14.2082
_cell_length_c 6.1288
_cell_angle_alpha 90.00
_cell_angle_beta 125.57
_cell_angle_gamma 90.00
loop_
_atom_site_label
_atom_site_type_symbol
_atom_site_fract_x
_atom_site_fract_y
_atom_site_fract_z
_atom_site_occupancy
Tb1 Tb 0.0000 0.0000 0.0000 1
Tb2 Tb 0.0000 0.3718 0.5000 1
Er1 Er 0.0000 0.1267 0.5000 1
Er2 Er 0.0000 0.5000 0.0000 1
Th1 Th 0.0000 0.2510 0.0000 1
```

The 12 most intense peaks (2θ from 10° to 90°), in order of rising 2θ:
2θ/deg  intensity  (hkl)
30.9  100  2 0 0
35.7  34  2 4 -1
36.0  17  0 0 2
51.2  6  4 0 -2
51.6  24  2 4 1
61.0  15  4 4 -1
61.2  14  2 8 0
61.6  14  2 0 2
64.2  6  4 0 0
64.4  6  0 8 2
84.2  6  4 4 1
86.7  8  4 8 0

(9)
For TbEr5Th4, a cell relaxed with GGA-PBE gives the theoretical X-ray powder pattern in this record (a wavelength of 1.5418 Å).

Structure:
```
data_TbEr5Th4
_chemical_formula_sum 'Tb2 Er10 Th8'
_symmetry_space_group_name_H-M 'P m m n'
_symmetry_Int_Tables_number 59
_cell_length_a 6.6924
_cell_length_b 11.6763
_cell_length_c 8.5352
_cell_angle_alpha 90.00
_cell_angle_beta 90.00
_cell_angle_gamma 90.00
loop_
_symmetry_equiv_pos_as_xyz
'x,y,z'
'-x,-y,-z'
'-x+1/2,-y+1/2,z'
'x+1/2,y+1/2,-z'
'x+1/2,-y,-z'
'-x+1/2,y,z'
'-x,y+1/2,-z'
'x,-y+1/2,z'
loop_
_atom_site_label
_atom_site_type_symbol
_atom_site_fract_x
_atom_site_fract_y
_atom_site_fract_z
_atom_site_occupancy
Tb1 Tb 0.2500 0.2500 0.0419 1
Er1 Er 0.0092 0.0331 0.3155 1
Er2 Er 0.2500 0.7500 0.7070 1
Th1 Th 0.0017 0.7500 0.3601 1
Th2 Th 0.2500 0.6041 0.0322 1
```

The 12 most intense peaks (2θ from 10° to 90°), in order of rising 2θ:
2θ/deg  intensity  (hkl)
15.3  28  1 1 0
28.5  64  1 3 1
28.7  100  2 0 1
31.1  52  0 3 2
31.4  86  0 0 3
32.4  43  0 4 1
33.9  49  1 3 2
34.0  47  2 0 2
37.0  83  2 3 1
41.0  29  2 4 0
52.6  26  2 4 3
56.3  33  2 3 4

(10)
For Tb5Er12Th2, a cell relaxed with GGA-PBE gives the theoretical X-ray powder pattern in this record (a wavelength of 1.5418 Å).

Structure:
```
data_Tb5Er12Th2
_chemical_formula_sum 'Tb10 Er24 Th4'
_symmetry_space_group_name_H-M 'C 1 2/m 1'
_symmetry_Int_Tables_number 12
_symmetry_space_group_name_Hall '-C 2y'
_cell_length_a 15.4978
_cell_length_b 9.3237
_cell_length_c 8.4847
_cell_angle_alpha 90.00
_cell_angle_beta 91.91
_cell_angle_gamma 90.00
loop_
_atom_site_label
_atom_site_type_symbol
_atom_site_fract_x
_atom_site_fract_y
_atom_site_fract_z
_atom_site_occupancy
Tb1 Tb 0.0000 0.0000 0.0000 1
Tb2 Tb 0.1982 0.5000 0.5164 1
Tb3 Tb 0.2319 0.0000 0.0735 1
Er1 Er 0.0570 0.5000 0.8277 1
Er2 Er 0.0827 0.0000 0.3808 1
Er3 Er 0.1281 0.3086 0.1608 1
Er4 Er 0.1515 0.1787 0.7429 1
Th1 Th 0.0000 0.3229 0.5000 1
```

The 12 most intense peaks (2θ from 10° to 90°), in order of rising 2θ:
2θ/deg  intensity  (hkl)
29.3  17  3 1 2
30.5  43  2 2 -2
31.1  14  1 3 -1
31.3  34  1 3 1
31.6  16  0 0 3
31.9  100  4 0 2
32.1  23  4 2 1
33.4  44  1 1 -3
35.5  34  3 3 1
36.2  18  1 3 -2
55.9  28  3 3 4
58.6  22  5 5 -1

(11)
For Tb3Er8Th2, a cell relaxed with GGA-PBE gives the theoretical X-ray powder pattern in this record (a wavelength of 1.5418 Å).

Structure:
```
data_Tb3Er8Th2
_chemical_formula_sum 'Tb6 Er16 Th4'
_symmetry_space_group_name_H-M 'P -1'
_symmetry_Int_Tables_number 2
_symmetry_space_group_name_Hall '-P 1'
_cell_length_a 6.9339
_cell_length_b 8.3141
_cell_length_c 15.2398
_cell_angle_alpha 88.70
_cell_angle_beta 82.27
_cell_angle_gamma 76.74
loop_
_atom_site_label
_atom_site_type_symbol
_atom_site_fract_x
_atom_site_fract_y
_atom_site_fract_z
_atom_site_occupancy
Tb1 Tb 0.0000 0.0000 0.0000 1
Tb2 Tb 0.0000 0.5000 0.5000 1
Tb3 Tb 0.3033 0.0549 0.1998 1
Tb4 Tb 0.4328 0.4420 0.2906 1
Er1 Er 0.0478 0.5719 0.7159 1
Er2 Er 0.1570 0.6922 0.1430 1
Er3 Er 0.2017 0.9224 0.7758 1
Er4 Er 0.2404 0.1338 0.4259 1
Er5 Er 0.2792 0.7955 0.5580 1
Er6 Er 0.3233 0.3011 0.8661 1
Er7 Er 0.4055 0.2085 0.6365 1
Er8 Er 0.4626 0.6747 0.9371 1
Th1 Th 0.0135 0.3508 0.0710 1
Th2 Th 0.0754 0.8140 0.3616 1
```

The 12 most intense peaks (2θ from 10° to 90°), in order of rising 2θ:
2θ/deg  intensity  (hkl)
30.5  32  2 2 1
31.2  32  2 -1 0
31.5  100  0 1 -5
31.8  56  2 2 -1
32.1  50  2 -1 2
32.6  75  0 2 4
33.2  48  2 1 4
33.7  83  0 3 -1
34.1  44  2 0 -3
46.9  22  2 -2 5
49.2  19  2 4 3
62.5  19  4 0 6